Record 1
Simulated powder XRD pattern
Compound: La5S8
Radiation: Cu Kα (weighted mean of Kα1 and Kα2)
Structure: the GGA-PBE geometry in the Materials Project

a = 8.5782 Å, b = 8.5782 Å, c = 8.5782 Å
α = 60.00°, β = 60.00°, γ = 60.00°
Fractional coordinates of all 13 atoms:
1 La 0.0000 0.0000 0.0000
2 La 0.1334 0.6222 0.6222
3 La 0.6222 0.1334 0.6222
4 La 0.6222 0.6222 0.1334
5 La 0.6222 0.6222 0.6222
6 S 0.3899 0.3899 0.3899
7 S 0.3899 0.3899 0.8302
8 S 0.3899 0.8302 0.3899
9 S 0.3996 0.8668 0.8668
10 S 0.8302 0.3899 0.3899
11 S 0.8668 0.3996 0.8668
12 S 0.8668 0.8668 0.3996
13 S 0.8668 0.8668 0.8668

Peak list (8 most intense, 5 to 70 degrees two-theta, by angle)
- 2θ 12.6, I 56
- 2θ 14.6, I 17
- 2θ 24.3, I 100
- 2θ 25.4, I 21
- 2θ 29.5, I 51
- 2θ 38.6, I 51
- 2θ 42.1, I 71
- 2θ 58.4, I 24

---

Record 2
Simulated powder XRD pattern
Compound: NaEuHf2O6
Radiation: Cu Kα (weighted mean of Kα1 and Kα2)
Structure: the GGA-PBE geometry in the Materials Project

a = 5.8010 Å, b = 5.8010 Å, c = 5.8010 Å
α = 60.00°, β = 60.00°, γ = 60.00°
Fractional coordinates of all 10 atoms:
1 Na 0.0000 0.0000 0.0000
2 Eu 0.5000 0.5000 0.5000
3 Hf 0.2500 0.2500 0.2500
4 Hf 0.7500 0.7500 0.7500
5 O 0.0000 0.0000 0.5000
6 O 0.0000 0.5000 0.0000
7 O 0.0000 0.5000 0.5000
8 O 0.5000 0.0000 0.0000
9 O 0.5000 0.0000 0.5000
10 O 0.5000 0.5000 0.0000

Peak list (8 most intense, 5 to 70 degrees two-theta, by angle)
- 2θ 18.7, I 15
- 2θ 21.7, I 22
- 2θ 30.8, I 100
- 2θ 36.3, I 9
- 2θ 44.2, I 30
- 2θ 49.7, I 9
- 2θ 54.8, I 41
- 2θ 64.2, I 18

---

Record 3
Simulated powder XRD pattern
Compound: TiP2O8
Radiation: Cu Kα (weighted mean of Kα1 and Kα2)
Structure: the GGA-PBE geometry in the Materials Project

a = 5.2170 Å, b = 6.3886 Å, c = 13.5711 Å
α = 90.00°, β = 100.62°, γ = 90.00°
Fractional coordinates of all 22 atoms:
1 Ti 0.1816 0.0000 0.3854
2 Ti 0.8184 0.5000 0.6146
3 P 0.2476 0.5007 0.4498
4 P 0.3861 0.5430 0.7810
5 P 0.6139 0.0430 0.2190
6 P 0.7524 0.0007 0.5502
7 O 0.0767 0.5020 0.5313
8 O 0.0972 0.5058 0.7368
9 O 0.1854 0.6967 0.3831
10 O 0.1860 0.3049 0.3834
11 O 0.4361 0.7654 0.8252
12 O 0.4442 0.0009 0.2978
13 O 0.4610 0.0003 0.5020
14 O 0.4736 0.4150 0.8780
15 O 0.5264 0.9150 0.1220
16 O 0.5390 0.5003 0.4980
17 O 0.5558 0.5009 0.7022
18 O 0.5639 0.2654 0.1748
19 O 0.8140 0.8049 0.6166
20 O 0.8146 0.1967 0.6169
21 O 0.9028 0.0058 0.2632
22 O 0.9233 0.0020 0.4687

Peak list (8 most intense, 5 to 70 degrees two-theta, by angle)
- 2θ 6.6, I 100
- 2θ 15.4, I 24
- 2θ 19.7, I 4
- 2θ 19.8, I 4
- 2θ 23.8, I 9
- 2θ 24.0, I 12
- 2θ 27.9, I 6
- 2θ 28.7, I 4

---

Record 4
Simulated powder XRD pattern
Compound: SiI4
Radiation: Cu Kα (weighted mean of Kα1 and Kα2)
Structure: the GGA-PBE geometry in the Materials Project

a = 13.0213 Å, b = 13.0213 Å, c = 13.0213 Å
α = 90.00°, β = 90.00°, γ = 90.00°
Fractional coordinates of all 40 atoms:
1 Si 0.1278 0.1278 0.1278
2 Si 0.1278 0.3722 0.6278
3 Si 0.3722 0.6278 0.1278
4 Si 0.3722 0.8722 0.6278
5 Si 0.6278 0.1278 0.3722
6 Si 0.6278 0.3722 0.8722
7 Si 0.8722 0.6278 0.3722
8 Si 0.8722 0.8722 0.8722
9 I 0.0155 0.2375 0.0233
10 I 0.0155 0.2625 0.5233
11 I 0.0233 0.0155 0.2375
12 I 0.0233 0.4845 0.7375
13 I 0.2375 0.0233 0.0155
14 I 0.2365 0.2365 0.2365
15 I 0.2365 0.2635 0.7365
16 I 0.2375 0.4767 0.5155
17 I 0.2625 0.5233 0.0155
18 I 0.2635 0.7365 0.2365
19 I 0.2635 0.7635 0.7365
20 I 0.2625 0.9767 0.5155
21 I 0.4767 0.5155 0.2375
22 I 0.4767 0.9845 0.7375
23 I 0.4845 0.7375 0.0233
24 I 0.4845 0.7625 0.5233
25 I 0.5155 0.2375 0.4767
26 I 0.5155 0.2625 0.9767
27 I 0.5233 0.0155 0.2625
28 I 0.5233 0.4845 0.7625
29 I 0.7375 0.0233 0.4845
30 I 0.7365 0.2365 0.2635
31 I 0.7365 0.2635 0.7635
32 I 0.7375 0.4767 0.9845
33 I 0.7625 0.5233 0.4845
34 I 0.7635 0.7365 0.2635
35 I 0.7635 0.7635 0.7635
36 I 0.7625 0.9767 0.9845
37 I 0.9767 0.5155 0.2625
38 I 0.9767 0.9845 0.7625
39 I 0.9845 0.7375 0.4767
40 I 0.9845 0.7625 0.9767

Peak list (8 most intense, 5 to 70 degrees two-theta, by angle)
- 2θ 15.2, I 11
- 2θ 16.7, I 10
- 2θ 23.7, I 100
- 2θ 27.4, I 43
- 2θ 39.1, I 36
- 2θ 46.2, I 33
- 2θ 48.4, I 8
- 2θ 62.1, I 9

---

Record 5
Simulated powder XRD pattern
Compound: Cs3Cu2I5
Radiation: Cu Kα (weighted mean of Kα1 and Kα2)
Structure: the GGA-PBE geometry in the Materials Project

a = 10.4196 Å, b = 11.8394 Å, c = 14.5925 Å
α = 90.00°, β = 90.00°, γ = 90.00°
Fractional coordinates of all 40 atoms:
1 Cs 0.0526 0.0127 0.1761
2 Cs 0.0526 0.4873 0.1761
3 Cs 0.0934 0.7500 0.4516
4 Cs 0.4066 0.2500 0.9516
5 Cs 0.4474 0.5127 0.6761
6 Cs 0.4474 0.9873 0.6761
7 Cs 0.5526 0.0127 0.3239
8 Cs 0.5526 0.4873 0.3239
9 Cs 0.5934 0.7500 0.0484
10 Cs 0.9066 0.2500 0.5484
11 Cs 0.9474 0.5127 0.8239
12 Cs 0.9474 0.9873 0.8239
13 Cu 0.2132 0.7500 0.0442
14 Cu 0.2407 0.7500 0.8733
15 Cu 0.2593 0.2500 0.3733
16 Cu 0.2868 0.2500 0.5442
17 Cu 0.7132 0.7500 0.4558
18 Cu 0.7407 0.7500 0.6267
19 Cu 0.7593 0.2500 0.1267
20 Cu 0.7868 0.2500 0.9558
21 I 0.0328 0.2500 0.9870
22 I 0.1611 0.7500 0.7095
23 I 0.1919 0.0626 0.4493
24 I 0.1919 0.4374 0.4493
25 I 0.2034 0.2500 0.7107
26 I 0.2966 0.7500 0.2107
27 I 0.3081 0.5626 0.9493
28 I 0.3081 0.9374 0.9493
29 I 0.3389 0.2500 0.2095
30 I 0.4672 0.7500 0.4870
31 I 0.5328 0.2500 0.5130
32 I 0.6611 0.7500 0.7905
33 I 0.6919 0.0626 0.0507
34 I 0.6919 0.4374 0.0507
35 I 0.7034 0.2500 0.7893
36 I 0.7966 0.7500 0.2893
37 I 0.8081 0.5626 0.5507
38 I 0.8081 0.9374 0.5507
39 I 0.8389 0.2500 0.2905
40 I 0.9672 0.7500 0.0130

Peak list (8 most intense, 5 to 70 degrees two-theta, by angle)
- 2θ 23.6, I 37
- 2θ 25.2, I 50
- 2θ 25.9, I 100
- 2θ 26.4, I 22
- 2θ 27.5, I 33
- 2θ 30.2, I 38
- 2θ 41.0, I 19
- 2θ 46.9, I 26

---

Record 6
Simulated powder XRD pattern
Compound: PrLu3S6
Radiation: Cu Kα (weighted mean of Kα1 and Kα2)
Structure: the GGA-PBE geometry in the Materials Project

a = 11.0036 Å, b = 3.9480 Å, c = 11.2094 Å
α = 90.00°, β = 109.05°, γ = 90.00°
Fractional coordinates of all 20 atoms:
1 Pr 0.0508 0.2500 0.1960
2 Pr 0.9492 0.7500 0.8040
3 Lu 0.1609 0.2500 0.5871
4 Lu 0.3207 0.7500 0.0000
5 Lu 0.4435 0.2500 0.3341
6 Lu 0.5565 0.7500 0.6659
7 Lu 0.6793 0.2500 0.0000
8 Lu 0.8391 0.7500 0.4129
9 S 0.0808 0.7500 0.4076
10 S 0.1213 0.2500 0.9639
11 S 0.1979 0.7500 0.7486
12 S 0.2697 0.7500 0.2302
13 S 0.3927 0.2500 0.5576
14 S 0.4779 0.2500 0.1117
15 S 0.5221 0.7500 0.8883
16 S 0.6073 0.7500 0.4424
17 S 0.7303 0.2500 0.7698
18 S 0.8021 0.2500 0.2514
19 S 0.8787 0.7500 0.0361
20 S 0.9192 0.2500 0.5924

Peak list (8 most intense, 5 to 70 degrees two-theta, by angle)
- 2θ 23.8, I 76
- 2θ 24.3, I 100
- 2θ 26.5, I 68
- 2θ 27.7, I 44
- 2θ 27.8, I 51
- 2θ 31.2, I 68
- 2θ 34.4, I 49
- 2θ 42.5, I 60